Record 1
Ho2Co7B3: calculated XRD peak list (CuKα), based on a DFT-relaxed cell (PBE, the Materials Project).

Cell and atoms:
a b c (Å): 4.9989 4.9989 12.8023
angles (deg): 90.00 90.00 120.00
Space group P6/mmm (No. 191)
Asymmetric unit:
Ho  0.0000  0.0000  0.0000
Ho  0.0000  0.0000  0.2393
Ho  0.0000  0.0000  0.5000
Co  0.0000  0.5000  0.1163
Co  0.0000  0.5000  0.3461
Co  0.3333  0.6667  0.5000
B  0.3333  0.6667  0.0000
B  0.3333  0.6667  0.2320

Principal peaks in the range 10 to 80 degrees two-theta, low angle first:
(1 0 0), 2θ = 20.52°, I 291; (1 0 4), 2θ = 34.86°, I 1000; (1 1 0), 2θ = 35.93°, I 257; (2 0 0), 2θ = 41.73°, I 879; (1 1 4), 2θ = 46.08°, I 794; (2 1 4), 2θ = 63.90°, I 343; (1 1 8), 2θ = 69.78°, I 90; (3 0 4), 2θ = 71.75°, I 204; (2 0 8), 2θ = 73.61°, I 152; (2 2 0), 2θ = 76.18°, I 195

=====

Record 2
CuPO3: calculated XRD peak list (CuKα), based on a DFT-relaxed cell (PBE, the Materials Project).

Cell and atoms:
a b c (Å): 10.857 4.734 12.181
angles (deg): 90.00 120.43 90.00
Space group P2_1/c (No. 14)
Asymmetric unit:
Cu  0.043  0.171  0.335
Cu  0.358  0.030  0.010
P  0.205  0.187  0.639
P  0.293  0.686  0.798
O  0.066  0.189  0.635
O  0.155  0.680  0.799
O  0.210  0.226  0.021
O  0.282  0.618  0.183
O  0.325  0.116  0.256
O  0.426  0.726  0.421

Principal peaks in the range 10 to 80 degrees two-theta, low angle first:
(1 0 -2), 2θ = 14.57°, I 467; (1 1 -1), 2θ = 20.79°, I 258; (1 0 2), 2θ = 23.24°, I 308; (1 1 -2), 2θ = 23.82°, I 490; (1 1 1), 2θ = 24.44°, I 506; (2 1 0), 2θ = 26.78°, I 242; (3 0 0), 2θ = 28.61°, I 298; (0 1 3), 2θ = 31.77°, I 1000; (4 0 -2), 2θ = 33.07°, I 570; (2 1 -4), 2θ = 35.09°, I 483

=====

Record 3
MgSiH12O6F6: calculated XRD peak list (CuKα), based on a DFT-relaxed cell (PBE, the Materials Project).

Cell and atoms:
a b c (Å): 6.631 9.501 8.458
angles (deg): 90.00 100.59 90.00
Space group P2_1/c (No. 14)
Asymmetric unit:
Mg  0.000  0.000  0.000
Si  0.500  0.000  0.500
H  0.043  0.064  0.320
H  0.192  0.524  0.240
H  0.246  0.672  0.705
H  0.251  0.732  0.531
H  0.266  0.224  0.022
H  0.369  0.103  0.139
O  0.061  0.539  0.274
O  0.174  0.671  0.593
O  0.260  0.124  0.047
F  0.272  0.093  0.468
F  0.375  0.647  0.912
F  0.453  0.554  0.184

Principal peaks in the range 10 to 80 degrees two-theta, low angle first:
(0 1 1), 2θ = 14.15°, I 127; (1 1 -1), 2θ = 18.25°, I 1000; (0 2 0), 2θ = 18.68°, I 441; (1 1 1), 2θ = 21.00°, I 476; (0 0 2), 2θ = 21.37°, I 244; (2 2 0), 2θ = 33.34°, I 199; (2 2 -1), 2θ = 33.45°, I 121; (1 1 -3), 2θ = 34.08°, I 303; (0 4 1), 2θ = 39.45°, I 117; (2 4 0), 2θ = 47.36°, I 164

=====

Record 4
MgCd: calculated XRD peak list (CuKα), based on a DFT-relaxed cell (PBE, the Materials Project).

Cell and atoms:
a b c (Å): 3.1239 3.1239 16.0933
angles (deg): 90.00 90.00 120.00
Space group P-6m2 (No. 187)
Asymmetric unit:
Mg  0.0000  0.0000  0.0000
Mg  0.6667  0.3333  0.1679
Cd  0.0000  0.0000  0.3320
Cd  0.6667  0.3333  0.5000

Principal peaks in the range 10 to 80 degrees two-theta, low angle first:
(1 0 0), 2θ = 33.11°, I 258; (0 0 6), 2θ = 33.41°, I 295; (1 0 2), 2θ = 34.99°, I 215; (1 0 3), 2θ = 37.22°, I 1000; (1 0 4), 2θ = 40.17°, I 133; (1 0 6), 2θ = 47.75°, I 178; (1 1 0), 2θ = 59.15°, I 161; (1 0 9), 2θ = 62.23°, I 208; (1 1 6), 2θ = 69.66°, I 193; (2 0 3), 2θ = 72.00°, I 133

=====

Record 5
Dy3SbO3: calculated XRD peak list (CuKα), based on a DFT-relaxed cell (PBE, the Materials Project).

Cell and atoms:
a b c (Å): 13.141 3.869 11.779
angles (deg): 90.00 118.28 90.00
Space group C2/m (No. 12)
Asymmetric unit:
Dy  0.121  0.000  0.443
Dy  0.128  0.000  0.902
Dy  0.158  0.500  0.208
Sb  0.118  0.500  0.681
O  0.063  0.000  0.192
O  0.165  0.500  0.016
O  0.190  0.500  0.409

Principal peaks in the range 10 to 80 degrees two-theta, low angle first:
(2 0 -4), 2θ = 30.37°, I 548; (4 0 0), 2θ = 30.91°, I 564; (3 1 -2), 2θ = 31.48°, I 1000; (1 1 2), 2θ = 31.92°, I 908; (2 0 4), 2θ = 44.54°, I 157; (0 2 0), 2θ = 46.97°, I 239; (5 1 -6), 2θ = 54.37°, I 168; (7 1 -2), 2θ = 55.05°, I 160; (2 2 -4), 2θ = 56.96°, I 183; (4 2 0), 2θ = 57.29°, I 211

=====

Record 6
Ca2PrGaCu2O7: calculated XRD peak list (CuKα), based on a DFT-relaxed cell (PBE, the Materials Project).

Cell and atoms:
a b c (Å): 22.194 5.611 5.441
angles (deg): 90.00 90.00 90.00
Space group Ima2 (No. 46)
Asymmetric unit:
Ca  0.154  0.043  0.000
Pr  0.000  0.000  0.972
Ga  0.250  0.573  0.021
Cu  0.080  0.504  0.974
O  0.070  0.248  0.724
O  0.073  0.748  0.722
O  0.179  0.068  0.426
O  0.250  0.614  0.374

Principal peaks in the range 10 to 80 degrees two-theta, low angle first:
(2 1 1), 2θ = 24.15°, I 198; (4 1 1), 2θ = 27.93°, I 116; (0 2 0), 2θ = 31.90°, I 244; (0 0 2), 2θ = 32.92°, I 295; (6 1 1), 2θ = 33.36°, I 1000; (8 1 1), 2θ = 39.86°, I 190; (0 2 2), 2θ = 46.50°, I 286; (12 0 0), 2θ = 49.27°, I 122; (6 3 1), 2θ = 57.78°, I 163; (6 1 3), 2θ = 59.07°, I 190

=====

Record 7
Mg6ZnB: calculated XRD peak list (CuKα), based on a DFT-relaxed cell (PBE, the Materials Project).

Cell and atoms:
a b c (Å): 4.146 8.386 8.934
angles (deg): 90.00 90.00 90.00
Space group Amm2 (No. 38)
Asymmetric unit:
Mg  0.000  0.000  0.000
Mg  0.000  0.000  0.398
Mg  0.000  0.176  0.685
Mg  0.500  0.247  0.943
Zn  0.500  0.000  0.194
B  0.500  0.000  0.567

Principal peaks in the range 10 to 80 degrees two-theta, low angle first:
(0 1 1), 2θ = 14.49°, I 420; (1 1 1), 2θ = 25.97°, I 339; (0 3 1), 2θ = 33.59°, I 294; (1 2 2), 2θ = 36.52°, I 1000; (1 1 3), 2θ = 38.75°, I 452; (0 0 4), 2θ = 40.38°, I 161; (0 4 0), 2θ = 43.15°, I 113; (2 0 0), 2θ = 43.66°, I 214; (2 3 1), 2θ = 56.19°, I 129; (3 2 2), 2θ = 75.49°, I 106

=====

Record 8
Mg5Si9: calculated XRD peak list (CuKα), based on a DFT-relaxed cell (PBE, the Materials Project).

Cell and atoms:
a b c (Å): 5.749 7.238 12.673
angles (deg): 84.94 78.30 71.99
Space group P1 (No. 1)
Asymmetric unit:
Mg  0.000  0.000  0.000
Mg  0.005  0.509  0.264
Mg  0.014  0.624  0.864
Mg  0.151  0.981  0.443
Mg  0.449  0.811  0.806
Mg  0.469  0.632  0.301
Mg  0.511  0.012  0.986
Mg  0.612  0.314  0.138
Mg  0.664  0.471  0.497
Mg  0.673  0.369  0.883
Si  0.100  0.618  0.479
Si  0.112  0.355  0.038
Si  0.132  0.836  0.186
Si  0.171  0.242  0.601
Si  0.190  0.737  0.643
Si  0.207  0.215  0.833
Si  0.225  0.130  0.208
Si  0.314  0.301  0.403
Si  0.355  0.646  0.023
Si  0.455  0.416  0.708
Si  0.532  0.920  0.591
Si  0.683  0.928  0.203
Si  0.737  0.847  0.403
Si  0.744  0.654  0.081
Si  0.758  0.208  0.338
Si  0.790  0.118  0.632
Si  0.850  0.570  0.666
Si  0.914  0.000  0.798

Principal peaks in the range 10 to 80 degrees two-theta, low angle first:
(-1 1 3), 2θ = 34.16°, I 559; (2 2 0), 2θ = 35.74°, I 602; (2 2 2), 2θ = 35.88°, I 686; (0 0 5), 2θ = 36.19°, I 790; (1 3 1), 2θ = 37.66°, I 692; (0 1 5), 2θ = 38.21°, I 1000; (0 1 -5), 2θ = 38.89°, I 681; (1 -2 3), 2θ = 40.02°, I 524; (2 2 -2), 2θ = 41.30°, I 564; (1 3 3), 2θ = 41.62°, I 558

=====

Record 9
Cd5Si2N6: calculated XRD peak list (CuKα), based on a DFT-relaxed cell (PBE, the Materials Project).

Cell and atoms:
a b c (Å): 9.438 6.010 13.716
angles (deg): 90.00 91.38 90.00
Space group C2/c (No. 15)
Asymmetric unit:
Cd  0.000  0.130  0.250
Cd  0.066  0.246  0.481
Cd  0.144  0.411  0.700
Si  0.211  0.315  0.915
N  0.047  0.439  0.892
N  0.191  0.064  0.985
N  0.199  0.211  0.194

Principal peaks in the range 10 to 80 degrees two-theta, low angle first:
(0 0 4), 2θ = 25.99°, I 326; (0 2 1), 2θ = 30.45°, I 414; (1 1 -4), 2θ = 31.31°, I 165; (3 1 0), 2θ = 32.12°, I 147; (0 2 2), 2θ = 32.54°, I 205; (2 0 4), 2θ = 32.66°, I 1000; (3 1 -2), 2θ = 34.48°, I 181; (1 1 -5), 2θ = 37.07°, I 279; (3 1 -5), 2θ = 45.93°, I 139; (5 1 3), 2θ = 55.28°, I 200

=====

Record 10
Cs2AlTe3O12: calculated XRD peak list (CuKα), based on a DFT-relaxed cell (PBE, the Materials Project).

Cell and atoms:
a b c (Å): 7.3120 7.3120 17.2249
angles (deg): 90.00 90.00 120.00
Space group R-3m (No. 166, hexagonal axes)
Asymmetric unit:
Cs  0.0000  0.0000  0.1284
Al  0.0000  0.0000  0.5000
Te  0.0000  0.5000  0.0000
O  0.0707  0.5353  0.3614
O  0.0796  0.5398  0.1063

Principal peaks in the range 10 to 80 degrees two-theta, low angle first:
(0 0 3), 2θ = 15.43°, I 209; (1 0 4), 2θ = 25.01°, I 496; (0 2 1), 2θ = 28.67°, I 1000; (1 1 3), 2θ = 28.95°, I 892; (0 1 5), 2θ = 29.52°, I 355; (2 0 2), 2θ = 30.07°, I 491; (3 0 3), 2θ = 45.80°, I 277; (0 2 7), 2θ = 46.75°, I 215; (2 2 0), 2θ = 49.89°, I 411; (2 0 8), 2θ = 51.32°, I 388